Computed PXRD pattern
Compound: InPBr
Radiation: Cu Kα
Structure: a structure optimized by DFT (PBE)

The 6 most intense peaks (15 to 90 degrees two-theta), by angle:
(0 1 2), d = 5.070 Å, rel. 58.7
(1 0 4), d = 3.985 Å, rel. 60.8
(1 1 0), d = 3.286 Å, rel. 46.7
(1 1 3), d = 3.006 Å, rel. 90.0
(1 1 6), d = 2.463 Å, rel. 100.0
(3 0 0), d = 1.897 Å, rel. 40.0

Cell and atoms:
Cell: 6.5716 6.5716 22.3228 Å, 90.00 90.00 120.00°
Space group R3 (No. 146, hexagonal axes)
One atom of each set of equivalent atoms:
In  0.0000  0.0000  0.0000
In  0.0000  0.0000  0.2026
In  0.0000  0.0000  0.7089
P  0.1410  0.4586  0.2695
Br  0.0156  0.6790  0.1020